[1]
For Pm5Pr4Th, DFT lattice parameters and positions (GGA-PBE) gives the simulated powder X-ray diffraction pattern in this record (Cu Kα, 1.54184 Å).
No peak broadening, texture or thermal motion is included.

Principal peaks in the range 10° ≤ 2θ ≤ 80°, sorted by position:
2theta, intensity
29.8, 1000
29.8, 330
34.5, 673
49.6, 401
49.8, 80
58.9, 381
59.1, 191
61.8, 85
61.9, 42
72.9, 51

Structure:
Unit cell a=13.2590 b=13.2590 c=7.3278 alpha=97.86 beta=97.86 gamma=15.93
Positions (direct):
Pm (0.0000, 0.0000, 0.0000)
Pm (0.1998, 0.1998, 0.0996)
Pm (0.4033, 0.4033, 0.6949)
Pm (0.5967, 0.5967, 0.3051)
Pm (0.8002, 0.8002, 0.9004)
Pr (0.2007, 0.2007, 0.6015)
Pr (0.4032, 0.4032, 0.2068)
Pr (0.5968, 0.5968, 0.7932)
Pr (0.7993, 0.7993, 0.3985)
Th (0.0000, 0.0000, 0.5000)

***

[2]
For Cs3Tl2F6, DFT lattice parameters and positions (GGA-PBE) gives the simulated powder X-ray diffraction pattern in this record (Cu Kα, 1.54184 Å).
No peak broadening, texture or thermal motion is included.

Principal peaks in the range 10° ≤ 2θ ≤ 80°, sorted by position:
2theta, intensity
25.3, 848
27.2, 1000
34.0, 334
36.1, 496
45.8, 493
50.4, 220
52.0, 170
58.6, 170
71.7, 134
75.3, 136

Structure:
Unit cell a=11.4405 b=11.4405 c=11.4405 alpha=154.87 beta=154.87 gamma=35.84
Positions (direct):
Cs (0.0000, 0.0000, 0.0000)
Cs (0.1814, 0.1814, 0.0000)
Cs (0.8186, 0.8186, 0.0000)
Tl (0.4205, 0.4205, 0.0000)
Tl (0.5795, 0.5795, 0.0000)
F (0.0881, 0.5881, 0.5000)
F (0.3140, 0.3140, 0.0000)
F (0.4119, 0.9119, 0.5000)
F (0.5881, 0.0881, 0.5000)
F (0.6860, 0.6860, 0.0000)
F (0.9119, 0.4119, 0.5000)

***

[3]
For Ag2SbCl5, DFT lattice parameters and positions (GGA-PBE) gives the simulated powder X-ray diffraction pattern in this record (Cu Kα, 1.54184 Å).
No peak broadening, texture or thermal motion is included.

Principal peaks in the range 10° ≤ 2θ ≤ 80°, sorted by position:
2theta, intensity
14.5, 690
18.9, 1000
22.1, 411
24.6, 223
26.6, 276
29.3, 214
31.5, 628
37.0, 581
49.4, 208
50.4, 308

Structure:
Unit cell a=8.0325 b=8.0325 c=9.3893 alpha=90.00 beta=90.00 gamma=90.00
Positions (direct):
Ag (0.0000, 0.5000, 0.0000)
Ag (0.0000, 0.5000, 0.5000)
Ag (0.5000, 0.0000, 0.0000)
Ag (0.5000, 0.0000, 0.5000)
Sb (0.0000, 0.0000, 0.0010)
Sb (0.5000, 0.5000, 0.5010)
Cl (0.0000, 0.0000, 0.7504)
Cl (0.1942, 0.2732, 0.9984)
Cl (0.2268, 0.6942, 0.4984)
Cl (0.2732, 0.8058, 0.9984)
Cl (0.3058, 0.2268, 0.4984)
Cl (0.5000, 0.5000, 0.2504)
Cl (0.6942, 0.7732, 0.4984)
Cl (0.7268, 0.1942, 0.9984)
Cl (0.7732, 0.3058, 0.4984)
Cl (0.8058, 0.7268, 0.9984)

***

[4]
For LiSn5Te7, DFT lattice parameters and positions (GGA-PBE) gives the simulated powder X-ray diffraction pattern in this record (Cu Kα, 1.54184 Å).
No peak broadening, texture or thermal motion is included.

Principal peaks in the range 10° ≤ 2θ ≤ 80°, sorted by position:
2theta, intensity
27.3, 296
27.3, 1000
28.0, 993
29.1, 675
30.6, 510
38.1, 430
40.4, 459
41.1, 206
41.2, 439
42.6, 390

Structure:
Unit cell a=4.4683 b=25.5165 c=7.6335 alpha=90.00 beta=106.89 gamma=90.00
Positions (direct):
Li (0.1465, 0.0000, 0.2934)
Li (0.8535, 0.5000, 0.7066)
Sn (0.0039, 0.2751, 0.0075)
Sn (0.2807, 0.6991, 0.5610)
Sn (0.2849, 0.3543, 0.5691)
Sn (0.4342, 0.9299, 0.8717)
Sn (0.4357, 0.1227, 0.8748)
Sn (0.5643, 0.6227, 0.1252)
Sn (0.5658, 0.4299, 0.1283)
Sn (0.7151, 0.8543, 0.4309)
Sn (0.7193, 0.1991, 0.4390)
Sn (0.9961, 0.7751, 0.9925)
Te (0.0877, 0.8909, 0.1729)
Te (0.0908, 0.1654, 0.1789)
Te (0.1915, 0.5899, 0.3834)
Te (0.1950, 0.4646, 0.3920)
Te (0.3578, 0.8117, 0.7140)
Te (0.3642, 0.2430, 0.7269)
Te (0.4565, 0.5261, 0.9143)
Te (0.5435, 0.0261, 0.0857)
Te (0.6358, 0.7430, 0.2731)
Te (0.6422, 0.3117, 0.2860)
Te (0.8050, 0.9646, 0.6080)
Te (0.8085, 0.0899, 0.6166)
Te (0.9092, 0.6654, 0.8211)
Te (0.9123, 0.3909, 0.8271)

***

[5]
For SmAl3Au, DFT lattice parameters and positions (GGA-PBE) gives the simulated powder X-ray diffraction pattern in this record (Cu Kα, 1.54184 Å).
No peak broadening, texture or thermal motion is included.

Principal peaks in the range 10° ≤ 2θ ≤ 80°, sorted by position:
2theta, intensity
16.0, 396
22.3, 400
29.6, 593
32.1, 1000
33.8, 569
42.3, 405
46.3, 365
54.1, 464
58.7, 137
64.5, 272

Structure:
Unit cell a=4.2739 b=4.2739 c=11.0473 alpha=90.00 beta=90.00 gamma=90.00
Positions (direct):
Sm (0.0000, 0.0000, 0.0000)
Sm (0.5000, 0.5000, 0.5000)
Al (0.0000, 0.0000, 0.5902)
Al (0.0000, 0.5000, 0.2379)
Al (0.0000, 0.5000, 0.7379)
Al (0.5000, 0.0000, 0.2379)
Al (0.5000, 0.0000, 0.7379)
Al (0.5000, 0.5000, 0.0902)
Au (0.0000, 0.0000, 0.3660)
Au (0.5000, 0.5000, 0.8660)

***

[6]
For Ho4GaS3, DFT lattice parameters and positions (GGA-PBE) gives the simulated powder X-ray diffraction pattern in this record (Cu Kα, 1.54184 Å).
No peak broadening, texture or thermal motion is included.

Principal peaks in the range 10° ≤ 2θ ≤ 80°, sorted by position:
2theta, intensity
15.8, 11
22.5, 11
27.6, 640
32.0, 1000
45.9, 727
54.4, 314
57.1, 253
66.9, 117
73.9, 128
76.1, 324

Structure:
Unit cell a=5.5922 b=5.5922 c=5.5922 alpha=90.00 beta=90.00 gamma=90.00
Positions (direct):
Ho (0.0000, 0.0000, 0.0000)
Ho (0.0000, 0.5000, 0.5000)
Ho (0.5000, 0.0000, 0.5000)
Ho (0.5000, 0.5000, 0.0000)
Ga (0.5000, 0.5000, 0.5000)
S (0.0000, 0.0000, 0.5000)
S (0.0000, 0.5000, 0.0000)
S (0.5000, 0.0000, 0.0000)

***

[7]
For AlSi4HO10, DFT lattice parameters and positions (GGA-PBE) gives the simulated powder X-ray diffraction pattern in this record (Cu Kα, 1.54184 Å).
No peak broadening, texture or thermal motion is included.

Principal peaks in the range 10° ≤ 2θ ≤ 80°, sorted by position:
2theta, intensity
16.1, 142
23.8, 956
24.1, 632
24.3, 639
24.4, 1000
25.5, 312
29.4, 129
29.5, 139
35.0, 164
47.4, 156

Structure:
Unit cell a=5.0038 b=5.9778 c=7.6049 alpha=112.83 beta=93.30 gamma=90.10
Positions (direct):
Al (0.0000, 0.0000, 0.0000)
Si (0.2326, 0.5216, 0.7329)
Si (0.2517, 0.5119, 0.3169)
Si (0.7186, 0.2036, 0.6961)
Si (0.7403, 0.7945, 0.2860)
H (0.5365, 0.8442, 0.0198)
O (0.0469, 0.7201, 0.3034)
O (0.1397, 0.2432, 0.1920)
O (0.2558, 0.7834, 0.9172)
O (0.3100, 0.5590, 0.5412)
O (0.4354, 0.3307, 0.7722)
O (0.5338, 0.5674, 0.2391)
O (0.6625, 0.0274, 0.4694)
O (0.7254, 0.8717, 0.0934)
O (0.8298, 0.0542, 0.8181)
O (0.9248, 0.4225, 0.7087)

***

[8]
For Ba4Pd3BrO6, DFT lattice parameters and positions (GGA-PBE) gives the simulated powder X-ray diffraction pattern in this record (Cu Kα, 1.54184 Å).
No peak broadening, texture or thermal motion is included.

Principal peaks in the range 10° ≤ 2θ ≤ 80°, sorted by position:
2theta, intensity
15.3, 27
21.7, 9
30.8, 1000
34.6, 7
38.0, 22
44.1, 239
54.8, 390
64.2, 150
72.9, 168
77.1, 7

Structure:
Unit cell a=7.1094 b=7.1094 c=7.1094 alpha=109.47 beta=109.47 gamma=109.47
Positions (direct):
Ba (0.0000, 0.0000, 0.5000)
Ba (0.0000, 0.5000, 0.0000)
Ba (0.5000, 0.0000, 0.0000)
Ba (0.5000, 0.5000, 0.5000)
Pd (0.0000, 0.5000, 0.5000)
Pd (0.5000, 0.0000, 0.5000)
Pd (0.5000, 0.5000, 0.0000)
Br (0.0000, 0.0000, 0.0000)
O (0.2500, 0.5000, 0.7500)
O (0.2500, 0.7500, 0.5000)
O (0.5000, 0.2500, 0.7500)
O (0.5000, 0.7500, 0.2500)
O (0.7500, 0.2500, 0.5000)
O (0.7500, 0.5000, 0.2500)